Theoretical powder XRD pattern
Compound: K3Ca4F12
Radiation: Cu Kα, 1.54184 Å
Structure: the GGA-PBE geometry in Alexandria
Lines closer than 0.1° are merged.

Structure:
abc: 7.7141 7.7141 7.7141
angles: 109.47 109.47 109.47
Element x y z (fractional)
K: 0.0000 0.5000 0.5000
K: 0.5000 0.0000 0.5000
K: 0.5000 0.5000 0.0000
Ca: 0.0000 0.0000 0.5000
Ca: 0.0000 0.5000 0.0000
Ca: 0.5000 0.0000 0.0000
Ca: 0.5000 0.5000 0.5000
F: 0.0654 0.7729 0.2925
F: 0.2271 0.2925 0.5195
F: 0.2271 0.7075 0.9346
F: 0.2925 0.0654 0.7729
F: 0.2925 0.5195 0.2271
F: 0.4805 0.7729 0.7075
F: 0.5195 0.2271 0.2925
F: 0.7075 0.4805 0.7729
F: 0.7075 0.9346 0.2271
F: 0.7729 0.2925 0.0654
F: 0.7729 0.7075 0.4805
F: 0.9346 0.2271 0.7075

Peak list (10 most intense, 2θ = 10–90°, in order of falling intensity)
2θ 28.34, intensity 1000; 2θ 40.51, intensity 879; 2θ 50.17, intensity 549; 2θ 58.63, intensity 405; 2θ 14.06, intensity 369; 2θ 19.94, intensity 356; 2θ 80.73, intensity 234; 2θ 34.89, intensity 185; 2θ 37.79, intensity 184; 2θ 66.37, intensity 162